Theoretical powder XRD pattern
Compound: La4Mg4Pb7
Radiation: Cu Kα
Structure: the GGA-PBE geometry in Alexandria

Largest 10 diffraction maxima, by intensity, 10° ≤ 2θ ≤ 90°:
| 2θ/deg | I_rel | index |
| --- | --- | --- |
| 30.58 | 100 | 5 0 1 |
| 32.32 | 29 | 3 1 2 |
| 27.17 | 29 | 0 0 2 |
| 50.19 | 26 | 5 0 3 |
| 23.11 | 16 | 3 3 0 |
| 44.66 | 15 | 6 2 2 |
| 21.77 | 14 | 4 0 0 |
| 32.91 | 13 | 6 0 0 |
| 39.01 | 12 | 5 5 0 |
| 65.48 | 11 | 10 5 1 |

```
data_La4Mg4Pb7
_chemical_formula_sum 'La16 Mg16 Pb28'
_cell_length_a 16.3274
_cell_length_b 16.3274
_cell_length_c 6.5648
_cell_angle_alpha 90.00
_cell_angle_beta 90.00
_cell_angle_gamma 90.00
_space_group_name_H-M_alt 'I 4/m m m'
_space_group_IT_number 139
_space_group_name_Hall '-I 4 2'
loop_
_atom_site_label
_atom_site_type_symbol
_atom_site_fract_x
_atom_site_fract_y
_atom_site_fract_z
_atom_site_occupancy
La1 La 0.0000 0.1953 0.0000 1
La2 La 0.1381 0.1381 0.5000 1
Mg1 Mg 0.1541 0.3459 0.2500 1
Pb1 Pb 0.0000 0.0000 0.2499 1
Pb2 Pb 0.0000 0.2820 0.5000 1
Pb3 Pb 0.0000 0.4082 0.0000 1
Pb4 Pb 0.1999 0.1999 0.0000 1
```


Theoretical powder XRD pattern
Compound: CeFe22B6
Radiation: Cu Kα
Structure: the GGA-PBE geometry in Alexandria

Largest 10 diffraction maxima, by intensity, 10° ≤ 2θ ≤ 90°:
| 2θ/deg | I_rel | index |
| --- | --- | --- |
| 43.92 | 100 | 3 3 3 |
| 41.29 | 33 | 4 2 2 |
| 48.04 | 25 | 4 4 0 |
| 75.27 | 23 | 6 6 0 |
| 77.10 | 14 | 5 5 5 |
| 89.68 | 14 | 8 4 4 |
| 51.16 | 13 | 6 0 0 |
| 50.40 | 12 | 5 3 1 |
| 27.62 | 11 | 3 1 1 |
| 28.87 | 8 | 2 2 2 |

```
data_CeFe22B6
_chemical_formula_sum 'Ce4 Fe88 B24'
_cell_length_a 10.7126
_cell_length_b 10.7126
_cell_length_c 10.7126
_cell_angle_alpha 90.00
_cell_angle_beta 90.00
_cell_angle_gamma 90.00
_space_group_name_H-M_alt 'F m -3 m'
_space_group_IT_number 225
_space_group_name_Hall '-F 4 2 3'
loop_
_atom_site_label
_atom_site_type_symbol
_atom_site_fract_x
_atom_site_fract_y
_atom_site_fract_z
_atom_site_occupancy
Ce1 Ce 0.0000 0.0000 0.0000 1
Fe1 Fe 0.0000 0.1750 0.1750 1
Fe2 Fe 0.1176 0.1176 0.3824 1
Fe3 Fe 0.2500 0.2500 0.2500 1
B1 B 0.0000 0.0000 0.2741 1
```


Theoretical powder XRD pattern
Compound: K3Tm3HfS8
Radiation: Cu Kα
Structure: the GGA-PBE geometry in Alexandria

Largest 10 diffraction maxima, by intensity, 10° ≤ 2θ ≤ 90°:
| 2θ/deg | I_rel | index |
| --- | --- | --- |
| 11.80 | 100 | 0 0 3 |
| 30.82 | 82 | 0 2 4 |
| 41.75 | 30 | 2 0 8 |
| 26.61 | 30 | 0 2 1 |
| 27.50 | 29 | 2 0 2 |
| 46.43 | 26 | 2 2 0 |
| 38.62 | 23 | 0 2 7 |
| 48.08 | 19 | 2 2 3 |
| 23.73 | 17 | 0 0 6 |
| 48.58 | 16 | 0 0 12 |

```
data_K3Tm3HfS8
_chemical_formula_sum 'K9 Tm9 Hf3 S24'
_cell_length_a 7.8225
_cell_length_b 7.8225
_cell_length_c 22.4944
_cell_angle_alpha 90.00
_cell_angle_beta 90.00
_cell_angle_gamma 120.00
_space_group_name_H-M_alt 'R -3 m'
_space_group_IT_number 166
_space_group_name_Hall '-R 3 2"'
loop_
_atom_site_label
_atom_site_type_symbol
_atom_site_fract_x
_atom_site_fract_y
_atom_site_fract_z
_atom_site_occupancy
K1 K 0.0000 0.5000 0.0000 1
Tm1 Tm 0.0000 0.5000 0.5000 1
Hf1 Hf 0.0000 0.0000 0.5000 1
S1 S 0.0000 0.0000 0.2328 1
S2 S 0.0153 0.5077 0.2304 1
```


Theoretical powder XRD pattern
Compound: Ba2SrLiC
Radiation: Cu Kα
Structure: the GGA-PBE geometry in Alexandria

Largest 10 diffraction maxima, by intensity, 10° ≤ 2θ ≤ 90°:
| 2θ/deg | I_rel | index |
| --- | --- | --- |
| 24.80 | 100 | 1 1 1 |
| 28.45 | 37 | 2 0 0 |
| 48.22 | 32 | 3 1 1 |
| 41.25 | 27 | 2 0 2 |
| 14.50 | 19 | 0 0 1 |
| 29.23 | 17 | 0 0 2 |
| 20.01 | 16 | 1 1 0 |
| 49.23 | 15 | 1 1 3 |
| 50.87 | 14 | 2 2 2 |
| 40.67 | 14 | 2 2 0 |

```
data_Ba2SrLiC
_chemical_formula_sum 'Ba2 Sr1 Li1 C1'
_cell_length_a 6.2742
_cell_length_b 6.2742
_cell_length_c 6.1101
_cell_angle_alpha 90.00
_cell_angle_beta 90.00
_cell_angle_gamma 90.00
_space_group_name_H-M_alt 'P 4/m m m'
_space_group_IT_number 123
_space_group_name_Hall '-P 4 2'
loop_
_atom_site_label
_atom_site_type_symbol
_atom_site_fract_x
_atom_site_fract_y
_atom_site_fract_z
_atom_site_occupancy
Ba1 Ba 0.0000 0.5000 0.0000 1
Sr1 Sr 0.0000 0.0000 0.5000 1
Li1 Li 0.0000 0.0000 0.0000 1
C1 C 0.5000 0.5000 0.5000 1
```


Theoretical powder XRD pattern
Compound: TmScTe3
Radiation: Cu Kα
Structure: the GGA-PBE geometry in Alexandria

Largest 10 diffraction maxima, by intensity, 10° ≤ 2θ ≤ 90°:
| 2θ/deg | I_rel | index |
| --- | --- | --- |
| 27.13 | 100 | 1 3 1 |
| 31.76 | 59 | 1 5 1 |
| 42.71 | 53 | 1 1 3 |
| 34.62 | 40 | 0 6 2 |
| 37.76 | 37 | 1 7 1 |
| 29.23 | 30 | 0 4 2 |
| 44.67 | 27 | 1 9 1 |
| 25.51 | 26 | 0 2 2 |
| 16.21 | 25 | 0 4 0 |
| 42.52 | 24 | 2 0 0 |

```
data_TmScTe3
_chemical_formula_sum 'Tm4 Sc4 Te12'
_cell_length_a 4.2521
_cell_length_b 21.8723
_cell_length_c 7.3685
_cell_angle_alpha 90.00
_cell_angle_beta 90.00
_cell_angle_gamma 90.00
_space_group_name_H-M_alt 'C m c 21'
_space_group_IT_number 36
_space_group_name_Hall 'C 2c -2'
loop_
_atom_site_label
_atom_site_type_symbol
_atom_site_fract_x
_atom_site_fract_y
_atom_site_fract_z
_atom_site_occupancy
Tm1 Tm 0.0000 0.1595 0.0000 1
Sc1 Sc 0.0000 0.3390 0.0037 1
Te1 Te 0.0000 0.0924 0.3468 1
Te2 Te 0.0000 0.2496 0.6676 1
Te3 Te 0.0000 0.4119 0.3225 1
```


Theoretical powder XRD pattern
Compound: Pm4OsPtBr2
Radiation: Cu Kα
Structure: the GGA-PBE geometry in Alexandria

Largest 10 diffraction maxima, by intensity, 10° ≤ 2θ ≤ 90°:
| 2θ/deg | I_rel | index |
| --- | --- | --- |
| 29.17 | 100 | 1 1 1 |
| 11.42 | 62 | 0 0 1 |
| 29.27 | 49 | 2 0 -2 |
| 39.89 | 46 | 1 1 -3 |
| 43.64 | 37 | 3 1 -1 |
| 43.50 | 19 | 0 2 0 |
| 36.80 | 19 | 1 1 2 |
| 53.30 | 19 | 2 2 -2 |
| 50.06 | 18 | 2 0 3 |
| 36.91 | 9 | 2 0 -3 |

```
data_Pm4OsPtBr2
_chemical_formula_sum 'Pm4 Os1 Pt1 Br2'
_cell_length_a 7.1782
_cell_length_b 4.1609
_cell_length_c 8.1052
_cell_angle_alpha 90.00
_cell_angle_beta 107.06
_cell_angle_gamma 90.00
_space_group_name_H-M_alt 'P 1 2/m 1'
_space_group_IT_number 10
_space_group_name_Hall '-P 2y'
loop_
_atom_site_label
_atom_site_type_symbol
_atom_site_fract_x
_atom_site_fract_y
_atom_site_fract_z
_atom_site_occupancy
Pm1 Pm 0.2216 0.0000 0.1976 1
Pm2 Pm 0.2582 0.5000 0.8052 1
Os1 Os 0.0000 0.5000 0.0000 1
Pt1 Pt 0.5000 0.0000 0.0000 1
Br1 Br 0.0000 0.0000 0.5000 1
Br2 Br 0.5000 0.5000 0.5000 1
```


Theoretical powder XRD pattern
Compound: IrPt3Rh4
Radiation: Cu Kα
Structure: the GGA-PBE geometry in Alexandria

Largest 10 diffraction maxima, by intensity, 10° ≤ 2θ ≤ 90°:
| 2θ/deg | I_rel | index |
| --- | --- | --- |
| 40.12 | 100 | 1 1 2 |
| 46.63 | 33 | 4 0 0 |
| 68.16 | 26 | 4 2 0 |
| 46.75 | 16 | 0 2 0 |
| 82.14 | 13 | 5 1 2 |
| 82.24 | 13 | 1 3 2 |
| 81.99 | 13 | 1 1 -6 |
| 22.85 | 8 | 2 0 0 |
| 32.53 | 7 | 1 1 -2 |
| 86.59 | 6 | 2 2 4 |

```
data_IrPt3Rh4
_chemical_formula_sum 'Ir2 Pt6 Rh8'
_cell_length_a 8.7007
_cell_length_b 3.8864
_cell_length_c 7.7992
_cell_angle_alpha 90.00
_cell_angle_beta 116.54
_cell_angle_gamma 90.00
_space_group_name_H-M_alt 'C 1 2/m 1'
_space_group_IT_number 12
_space_group_name_Hall '-C 2y'
loop_
_atom_site_label
_atom_site_type_symbol
_atom_site_fract_x
_atom_site_fract_y
_atom_site_fract_z
_atom_site_occupancy
Ir1 Ir 0.0000 0.0000 0.0000 1
Pt1 Pt 0.0000 0.0000 0.5000 1
Pt2 Pt 0.0015 0.5000 0.2455 1
Rh1 Rh 0.2500 0.0000 0.3729 1
Rh2 Rh 0.2499 0.0000 0.8771 1
```


Theoretical powder XRD pattern
Compound: U2Tc3Ru
Radiation: Cu Kα
Structure: the GGA-PBE geometry in Alexandria

Largest 10 diffraction maxima, by intensity, 10° ≤ 2θ ≤ 90°:
| 2θ/deg | I_rel | index |
| --- | --- | --- |
| 35.03 | 100 | 1 0 3 |
| 40.18 | 93 | 1 1 2 |
| 35.17 | 50 | 1 1 0 |
| 41.99 | 50 | 2 0 1 |
| 63.03 | 46 | 3 0 0 |
| 65.02 | 32 | 2 0 5 |
| 66.49 | 22 | 3 0 2 |
| 74.35 | 21 | 2 2 0 |
| 84.91 | 17 | 3 1 3 |
| 40.83 | 12 | 2 0 0 |

```
data_U2Tc3Ru
_chemical_formula_sum 'U4 Tc6 Ru2'
_cell_length_a 5.1036
_cell_length_b 5.1036
_cell_length_c 9.4286
_cell_angle_alpha 90.00
_cell_angle_beta 90.00
_cell_angle_gamma 120.00
_space_group_name_H-M_alt 'P 63/m m c'
_space_group_IT_number 194
_space_group_name_Hall '-P 6c 2c'
loop_
_atom_site_label
_atom_site_type_symbol
_atom_site_fract_x
_atom_site_fract_y
_atom_site_fract_z
_atom_site_occupancy
U1 U 0.3333 0.6667 0.0620 1
Tc1 Tc 0.1692 0.3384 0.7500 1
Ru1 Ru 0.0000 0.0000 0.0000 1
```


Theoretical powder XRD pattern
Compound: MgHg3Te4
Radiation: Cu Kα
Structure: the GGA-PBE geometry in Alexandria

Largest 10 diffraction maxima, by intensity, 10° ≤ 2θ ≤ 90°:
| 2θ/deg | I_rel | index |
| --- | --- | --- |
| 22.00 | 100 | 2 1 0 |
| 41.83 | 98 | 0 2 3 |
| 38.59 | 95 | 4 0 0 |
| 24.91 | 71 | 0 2 1 |
| 45.52 | 59 | 4 0 2 |
| 23.21 | 58 | 0 0 2 |
| 72.04 | 39 | 2 5 3 |
| 32.19 | 39 | 2 1 2 |
| 58.21 | 37 | 4 2 3 |
| 65.07 | 26 | 0 2 5 |

```
data_MgHg3Te4
_chemical_formula_sum 'Mg2 Hg6 Te8'
_cell_length_a 9.3307
_cell_length_b 8.0828
_cell_length_c 7.6653
_cell_angle_alpha 90.00
_cell_angle_beta 90.00
_cell_angle_gamma 90.00
_space_group_name_H-M_alt 'P m n 21'
_space_group_IT_number 31
_space_group_name_Hall 'P 2ac -2'
loop_
_atom_site_label
_atom_site_type_symbol
_atom_site_fract_x
_atom_site_fract_y
_atom_site_fract_z
_atom_site_occupancy
Mg1 Mg 0.0000 0.1649 0.0000 1
Hg1 Hg 0.0000 0.8350 0.5001 1
Hg2 Hg 0.2502 0.3342 0.4985 1
Te1 Te 0.0000 0.1685 0.6313 1
Te2 Te 0.0000 0.8371 0.1241 1
Te3 Te 0.2466 0.3304 0.1229 1
```


Theoretical powder XRD pattern
Compound: LaY2ReO8
Radiation: Cu Kα
Structure: the GGA-PBE geometry in Alexandria

Largest 10 diffraction maxima, by intensity, 10° ≤ 2θ ≤ 90°:
| 2θ/deg | I_rel | index |
| --- | --- | --- |
| 24.79 | 100 | 2 0 0 |
| 31.15 | 88 | 1 1 2 |
| 47.81 | 69 | 3 1 2 |
| 35.34 | 24 | 2 2 0 |
| 60.83 | 20 | 3 3 2 |
| 17.46 | 18 | 1 1 0 |
| 58.97 | 17 | 2 0 4 |
| 64.95 | 10 | 2 2 4 |
| 50.75 | 9 | 0 4 0 |
| 57.29 | 9 | 2 4 0 |

```
data_LaY2ReO8
_chemical_formula_sum 'La2 Y4 Re2 O16'
_cell_length_a 7.1713
_cell_length_b 7.1964
_cell_length_c 6.9623
_cell_angle_alpha 90.00
_cell_angle_beta 90.00
_cell_angle_gamma 90.00
_space_group_name_H-M_alt 'C m m m'
_space_group_IT_number 65
_space_group_name_Hall '-C 2 2'
loop_
_atom_site_label
_atom_site_type_symbol
_atom_site_fract_x
_atom_site_fract_y
_atom_site_fract_z
_atom_site_occupancy
La1 La 0.0000 0.0000 0.0000 1
Y1 Y 0.0000 0.5000 0.2501 1
Re1 Re 0.0000 0.0000 0.5000 1
O1 O 0.0000 0.2655 0.5000 1
O2 O 0.0000 0.3157 0.0000 1
O3 O 0.1838 0.0000 0.3023 1
```


Theoretical powder XRD pattern
Compound: PmHoAu2
Radiation: Cu Kα
Structure: the GGA-PBE geometry in Alexandria

Largest 10 diffraction maxima, by intensity, 10° ≤ 2θ ≤ 90°:
| 2θ/deg | I_rel | index |
| --- | --- | --- |
| 31.37 | 100 | 1 1 -1 |
| 38.94 | 44 | 1 1 1 |
| 39.07 | 43 | 1 1 -2 |
| 38.04 | 38 | 0 2 0 |
| 32.17 | 33 | 0 0 2 |
| 37.50 | 28 | 0 1 2 |
| 48.23 | 19 | 2 0 -1 |
| 50.65 | 19 | 0 2 2 |
| 63.02 | 17 | 2 2 -1 |
| 69.38 | 16 | 1 3 1 |

```
data_PmHoAu2
_chemical_formula_sum 'Pm1 Ho1 Au2'
_cell_length_a 3.7738
_cell_length_b 4.7306
_cell_length_c 5.8688
_cell_angle_alpha 90.00
_cell_angle_beta 108.50
_cell_angle_gamma 90.00
_space_group_name_H-M_alt 'P 1 m 1'
_space_group_IT_number 6
_space_group_name_Hall 'P -2y'
loop_
_atom_site_label
_atom_site_type_symbol
_atom_site_fract_x
_atom_site_fract_y
_atom_site_fract_z
_atom_site_occupancy
Pm1 Pm 0.0000 0.0000 0.0000 1
Ho1 Ho 0.7247 0.5000 0.4461 1
Au1 Au 0.2736 0.0000 0.5439 1
Au2 Au 0.4475 0.5000 0.8945 1
```


Theoretical powder XRD pattern
Compound: Sc2SiS
Radiation: Cu Kα
Structure: the GGA-PBE geometry in Alexandria

Largest 10 diffraction maxima, by intensity, 10° ≤ 2θ ≤ 90°:
| 2θ/deg | I_rel | index |
| --- | --- | --- |
| 34.05 | 100 | 1 1 1 |
| 46.28 | 50 | 1 7 1 |
| 35.24 | 41 | 0 8 0 |
| 47.63 | 22 | 2 0 0 |
| 49.32 | 19 | 0 0 2 |
| 60.62 | 15 | 2 8 0 |
| 62.06 | 13 | 0 8 2 |
| 36.33 | 13 | 1 3 1 |
| 70.99 | 12 | 2 0 2 |
| 81.81 | 12 | 2 8 2 |

```
data_Sc2SiS
_chemical_formula_sum 'Sc8 Si4 S4'
_cell_length_a 3.8185
_cell_length_b 20.3715
_cell_length_c 3.6956
_cell_angle_alpha 90.00
_cell_angle_beta 90.00
_cell_angle_gamma 90.00
_space_group_name_H-M_alt 'C m c m'
_space_group_IT_number 63
_space_group_name_Hall '-C 2c 2'
loop_
_atom_site_label
_atom_site_type_symbol
_atom_site_fract_x
_atom_site_fract_y
_atom_site_fract_z
_atom_site_occupancy
Sc1 Sc 0.0000 0.0664 0.2500 1
Sc2 Sc 0.0000 0.3221 0.2500 1
Si1 Si 0.0000 0.4587 0.2500 1
S1 S 0.0000 0.1918 0.2500 1
```